Entry 1:
This entry pairs a crystal structure of Pu8GePt5 with its computed XRD peak list. Radiation: Cu Ka. Structure: the GGA-PBE geometry in Alexandria.

Cell lengths 8.753, 8.753, 8.632 Å; angles 90.00, 90.00, 90.00 degrees
Space group I-4 (No. 82)
Inequivalent atoms, fractional coordinates:
Pu 0.069 0.173 0.192 [8 per cell]
Pu 0.069 0.320 0.551 [8 per cell]
Ge 0.000 0.500 0.250 [2 per cell]
Pt 0.000 0.000 0.500 [2 per cell]
Pt 0.129 0.252 0.874 [8 per cell]

Top 10 peaks for 15° ≤ 2θ ≤ 90°, in order of rising 2θ:
- 32.37°, I 100
- 32.76°, I 46
- 38.52°, I 34
- 38.64°, I 29
- 38.84°, I 35
- 51.25°, I 18
- 53.40°, I 14
- 53.65°, I 10
- 53.87°, I 12
- 65.83°, I 19

***

Entry 2:
This entry pairs a crystal structure of K4SO with its computed XRD peak list. Radiation: Cu Ka. Structure: the GGA-PBE geometry in Alexandria.

Cell lengths 7.193, 9.895, 9.788 Å; angles 90.00, 90.00, 90.00 degrees
Space group Pbcm (No. 57)
Inequivalent atoms, fractional coordinates:
K 0.122 0.031 0.250 [4 per cell]
K 0.174 0.750 0.000 [4 per cell]
K 0.325 0.085 0.575 [8 per cell]
S 0.483 0.674 0.250 [4 per cell]
O 0.000 0.000 0.000 [4 per cell]

Top 10 peaks for 15° ≤ 2θ ≤ 90°, in order of rising 2θ:
- 27.93°, I 73
- 28.50°, I 50
- 29.80°, I 100
- 30.85°, I 28
- 31.43°, I 85
- 32.16°, I 68
- 32.88°, I 61
- 35.10°, I 32
- 41.91°, I 33
- 45.99°, I 32

***

Entry 3:
This entry pairs a crystal structure of YH6Pd5 with its computed XRD peak list. Radiation: Cu Ka. Structure: the GGA-PBE geometry in Alexandria.

Cell lengths 4.450, 5.500, 6.246 Å; angles 102.81, 106.31, 112.78 degrees
Space group P-1 (No. 2)
Inequivalent atoms, fractional coordinates:
Y 0.000 0.000 0.000 [1 per cell]
H 0.143 0.250 0.563 [2 per cell]
H 0.240 0.714 0.131 [2 per cell]
H 0.421 0.742 0.704 [2 per cell]
Pd 0.174 0.511 0.837 [2 per cell]
Pd 0.320 0.016 0.658 [2 per cell]
Pd 0.500 0.500 0.500 [1 per cell]

Top 10 peaks for 15° ≤ 2θ ≤ 90°, in order of rising 2θ:
- 33.87°, I 100
- 35.62°, I 84
- 36.49°, I 81
- 37.07°, I 78
- 38.27°, I 68
- 40.73°, I 58
- 45.40°, I 42
- 55.50°, I 25
- 58.71°, I 19
- 60.10°, I 19

***

Entry 4:
This entry pairs a crystal structure of PmPaAu2O8 with its computed XRD peak list. Radiation: Cu Ka. Structure: the GGA-PBE geometry in Alexandria.

Cell lengths 7.191, 7.191, 7.212 Å; angles 90.00, 90.00, 90.00 degrees
Space group I-4m2 (No. 119)
Inequivalent atoms, fractional coordinates:
Pm 0.000 0.000 0.000 [2 per cell]
Pa 0.000 0.500 0.750 [2 per cell]
Au 0.000 0.000 0.500 [2 per cell]
Au 0.000 0.500 0.250 [2 per cell]
O 0.000 0.192 0.719 [8 per cell]
O 0.000 0.332 0.031 [8 per cell]

Top 10 peaks for 15° ≤ 2θ ≤ 90°, in order of rising 2θ:
- 24.76°, I 100
- 30.39°, I 99
- 35.30°, I 31
- 47.26°, I 74
- 50.79°, I 15
- 57.15°, I 20
- 57.30°, I 17
- 60.34°, I 21
- 71.89°, I 17
- 82.70°, I 14

***

Entry 5:
This entry pairs a crystal structure of Tc2OsSe with its computed XRD peak list. Radiation: Cu Ka. Structure: the GGA-PBE geometry in Alexandria.

Cell lengths 9.469, 2.935, 4.439 Å; angles 90.00, 92.55, 90.00 degrees
Space group C2/m (No. 12)
Inequivalent atoms, fractional coordinates:
Tc 0.220 0.000 0.225 [4 per cell]
Os 0.000 0.500 0.000 [2 per cell]
Se 0.000 0.000 0.500 [2 per cell]

Top 10 peaks for 15° ≤ 2θ ≤ 90°, in order of rising 2θ:
- 20.02°, I 23
- 38.05°, I 42
- 38.21°, I 100
- 42.06°, I 17
- 44.34°, I 34
- 45.97°, I 25
- 46.40°, I 56
- 62.82°, I 14
- 71.79°, I 20
- 80.58°, I 16

***

Entry 6:
This entry pairs a crystal structure of DyGa4Ag6 with its computed XRD peak list. Radiation: Cu Ka. Structure: the GGA-PBE geometry in Alexandria.

Cell lengths 7.4862, 7.4862, 4.2626 Å; angles 90.00, 90.00, 120.00 degrees
Space group P-6m2 (No. 187)
Inequivalent atoms, fractional coordinates:
Dy 0.0000 0.0000 0.0000 [1 per cell]
Ga 0.1943 0.3887 0.5000 [3 per cell]
Ga 0.6667 0.3333 0.0000 [1 per cell]
Ag 0.0743 0.5372 0.0000 [3 per cell]
Ag 0.4042 0.2021 0.5000 [3 per cell]

Top 10 peaks for 15° ≤ 2θ ≤ 90°, in order of rising 2θ:
- 31.82°, I 26
- 34.77°, I 100
- 36.67°, I 32
- 41.80°, I 11
- 42.41°, I 29
- 42.56°, I 34
- 47.15°, I 12
- 48.65°, I 22
- 57.29°, I 17
- 66.49°, I 17